# 1
For Na2AgAs, a cell relaxed with GGA-PBE gives the calculated XRD peak list in this record (Cu Kα (weighted mean of Kα1 and Kα2)).
Neutral-atom scattering factors, no anomalous dispersion.

Largest 12 diffraction maxima, by angle, 10° ≤ 2θ ≤ 90°:
| two_theta | intensity |
| --- | --- |
| 15.55 | 90 |
| 19.94 | 100 |
| 22.04 | 42 |
| 32.49 | 35 |
| 35.18 | 92 |
| 36.20 | 44 |
| 37.77 | 51 |
| 39.87 | 49 |
| 40.52 | 20 |
| 44.96 | 55 |
| 45.77 | 18 |
| 58.15 | 26 |

Atomic structure:
Cell lengths 5.7946, 5.7946, 5.7062 Å; angles 90.00, 90.00, 79.57 degrees
Atoms (fractional coordinates):
Na 0.0308 0.3250 0.2500
Na 0.3250 0.0308 0.7500
Na 0.6750 0.9692 0.2500
Na 0.9692 0.6750 0.7500
Ag 0.5000 0.5000 0.0000
Ag 0.5000 0.5000 0.5000
As 0.2120 0.7880 0.2500
As 0.7880 0.2120 0.7500

# 2
For PuIr2, a cell relaxed with GGA-PBE gives the calculated XRD peak list in this record (Cu Kα (weighted mean of Kα1 and Kα2)).
Neutral-atom scattering factors, no anomalous dispersion.

Largest 11 diffraction maxima, by angle, 10° ≤ 2θ ≤ 90°:
| two_theta | intensity |
| --- | --- |
| 20.60 | 1 |
| 33.95 | 34 |
| 40.04 | 100 |
| 41.91 | 33 |
| 48.78 | 2 |
| 60.76 | 13 |
| 64.88 | 33 |
| 71.46 | 28 |
| 81.52 | 6 |
| 85.21 | 12 |
| 86.43 | 13 |

Atomic structure:
Cell lengths 5.2807, 5.2807, 5.2807 Å; angles 60.00, 60.00, 60.00 degrees
Atoms (fractional coordinates):
Pu 0.1250 0.1250 0.1250
Pu 0.8750 0.8750 0.8750
Ir 0.0000 0.5000 0.5000
Ir 0.5000 0.0000 0.5000
Ir 0.5000 0.5000 0.0000
Ir 0.5000 0.5000 0.5000

# 3
For Ba2Nb15O32, a cell relaxed with GGA-PBE gives the calculated XRD peak list in this record (Cu Kα (weighted mean of Kα1 and Kα2)).
Neutral-atom scattering factors, no anomalous dispersion.

Largest 12 diffraction maxima, by angle, 10° ≤ 2θ ≤ 90°:
| two_theta | intensity |
| --- | --- |
| 23.55 | 52 |
| 26.97 | 82 |
| 27.87 | 100 |
| 28.86 | 56 |
| 30.10 | 34 |
| 31.73 | 34 |
| 34.78 | 37 |
| 36.12 | 50 |
| 40.17 | 38 |
| 42.97 | 31 |
| 49.84 | 67 |
| 62.19 | 46 |

Atomic structure:
Cell lengths 12.9166, 12.9166, 12.9166 Å; angles 35.61, 35.61, 35.61 degrees
Atoms (fractional coordinates):
Ba 0.1386 0.1386 0.1386
Ba 0.8614 0.8614 0.8614
Nb 0.0307 0.6893 0.5784
Nb 0.0564 0.2263 0.8159
Nb 0.1841 0.9436 0.7737
Nb 0.2263 0.8159 0.0564
Nb 0.3107 0.4216 0.9693
Nb 0.3608 0.3608 0.3608
Nb 0.4216 0.9693 0.3107
Nb 0.5000 0.5000 0.5000
Nb 0.5784 0.0307 0.6893
Nb 0.6392 0.6392 0.6392
Nb 0.6893 0.5784 0.0307
Nb 0.7737 0.1841 0.9436
Nb 0.8159 0.0564 0.2263
Nb 0.9436 0.7737 0.1841
Nb 0.9693 0.3107 0.4216
O 0.0297 0.4426 0.1476
O 0.0371 0.8663 0.3007
O 0.1337 0.6993 0.9629
O 0.1476 0.0297 0.4426
O 0.1596 0.4583 0.5696
O 0.1634 0.5731 0.2627
O 0.2619 0.2619 0.2619
O 0.2627 0.1634 0.5731
O 0.2637 0.6843 0.4564
O 0.3007 0.0371 0.8663
O 0.3157 0.5436 0.7363
O 0.4269 0.7373 0.8366
O 0.4304 0.8404 0.5417
O 0.4426 0.1476 0.0297
O 0.4564 0.2637 0.6843
O 0.4583 0.5696 0.1596
O 0.5417 0.4304 0.8404
O 0.5436 0.7363 0.3157
O 0.5574 0.8524 0.9703
O 0.5696 0.1596 0.4583
O 0.5731 0.2627 0.1634
O 0.6843 0.4564 0.2637
O 0.6993 0.9629 0.1337
O 0.7363 0.3157 0.5436
O 0.7373 0.8366 0.4269
O 0.7381 0.7381 0.7381
O 0.8366 0.4269 0.7373
O 0.8404 0.5417 0.4304
O 0.8524 0.9703 0.5574
O 0.8663 0.3007 0.0371
O 0.9629 0.1337 0.6993
O 0.9703 0.5574 0.8524

# 4
For Ti3WC4, a cell relaxed with GGA-PBE gives the calculated XRD peak list in this record (Cu Kα (weighted mean of Kα1 and Kα2)).
Neutral-atom scattering factors, no anomalous dispersion.

Largest 12 diffraction maxima, by angle, 10° ≤ 2θ ≤ 90°:
| two_theta | intensity |
| --- | --- |
| 17.64 | 38 |
| 26.59 | 15 |
| 33.85 | 24 |
| 34.26 | 23 |
| 35.71 | 31 |
| 35.82 | 92 |
| 36.95 | 20 |
| 39.84 | 15 |
| 41.57 | 100 |
| 60.16 | 31 |
| 60.31 | 31 |
| 72.13 | 36 |

Atomic structure:
Cell lengths 10.2127, 10.2127, 10.2127 Å; angles 17.28, 17.28, 17.28 degrees
Atoms (fractional coordinates):
Ti 0.0000 0.0000 0.0000
Ti 0.2506 0.2506 0.2506
Ti 0.7494 0.7494 0.7494
W 0.5000 0.5000 0.5000
C 0.1248 0.1248 0.1248
C 0.3749 0.3749 0.3749
C 0.6251 0.6251 0.6251
C 0.8752 0.8752 0.8752

# 5
For Na2ScGeP3O12, a cell relaxed with GGA-PBE gives the calculated XRD peak list in this record (Cu Kα (weighted mean of Kα1 and Kα2)).
Neutral-atom scattering factors, no anomalous dispersion.

Largest 12 diffraction maxima, by angle, 10° ≤ 2θ ≤ 90°:
| two_theta | intensity |
| --- | --- |
| 14.12 | 41 |
| 14.23 | 25 |
| 19.88 | 82 |
| 20.32 | 47 |
| 20.45 | 32 |
| 23.66 | 100 |
| 23.77 | 49 |
| 28.68 | 46 |
| 31.68 | 63 |
| 31.80 | 95 |
| 35.50 | 25 |
| 35.73 | 42 |

Atomic structure:
Cell lengths 8.7411, 8.7411, 8.9309 Å; angles 119.23, 119.23, 59.58 degrees
Atoms (fractional coordinates):
Na 0.1113 0.8887 0.5000
Na 0.4978 0.9963 0.7489
Na 0.8887 0.1113 0.0000
Na 0.9963 0.4978 0.2489
Sc 0.3591 0.8499 0.3124
Sc 0.8499 0.3591 0.8124
Ge 0.1480 0.6382 0.6950
Ge 0.6382 0.1480 0.1950
P 0.0311 0.2594 0.4980
P 0.2594 0.0311 0.9980
P 0.4510 0.5320 0.5001
P 0.5320 0.4510 0.0001
P 0.7559 0.9553 0.5066
P 0.9553 0.7559 0.0066
O 0.0020 0.2761 0.6601
O 0.0516 0.4378 0.5201
O 0.0882 0.2105 0.9809
O 0.1165 0.7897 0.1790
O 0.2105 0.0882 0.4809
O 0.2291 0.8588 0.8192
O 0.2673 0.5560 0.5165
O 0.2761 0.0020 0.1601
O 0.3575 0.4795 0.8260
O 0.4127 0.7152 0.4821
O 0.4378 0.0516 0.0201
O 0.4795 0.3575 0.3260
O 0.5072 0.6175 0.1674
O 0.5560 0.2673 0.0165
O 0.5897 0.9243 0.4856
O 0.6175 0.5072 0.6674
O 0.7152 0.4127 0.9821
O 0.7392 0.9865 0.3370
O 0.7724 0.9373 0.0192
O 0.7897 0.1165 0.6790
O 0.8588 0.2291 0.3192
O 0.9243 0.5897 0.9856
O 0.9373 0.7724 0.5192
O 0.9865 0.7392 0.8370

# 6
For SrZn13, a cell relaxed with GGA-PBE gives the calculated XRD peak list in this record (Cu Kα (weighted mean of Kα1 and Kα2)).
Neutral-atom scattering factors, no anomalous dispersion.

Largest 12 diffraction maxima, by angle, 10° ≤ 2θ ≤ 90°:
| two_theta | intensity |
| --- | --- |
| 14.41 | 15 |
| 32.58 | 25 |
| 35.79 | 65 |
| 43.56 | 100 |
| 44.21 | 34 |
| 46.74 | 11 |
| 53.78 | 8 |
| 62.29 | 9 |
| 69.70 | 16 |
| 73.50 | 9 |
| 75.84 | 11 |
| 84.54 | 14 |

Atomic structure:
Cell lengths 8.6912, 8.6912, 8.6912 Å; angles 60.00, 60.00, 60.00 degrees
Atoms (fractional coordinates):
Sr 0.2500 0.2500 0.2500
Sr 0.7500 0.7500 0.7500
Zn 0.0000 0.0000 0.0000
Zn 0.0596 0.3004 0.6996
Zn 0.0596 0.6996 0.9404
Zn 0.0596 0.9404 0.3004
Zn 0.1996 0.4404 0.8004
Zn 0.1996 0.5596 0.4404
Zn 0.1996 0.8004 0.5596
Zn 0.3004 0.0596 0.9404
Zn 0.3004 0.6996 0.0596
Zn 0.3004 0.9404 0.6996
Zn 0.4404 0.1996 0.5596
Zn 0.4404 0.5596 0.8004
Zn 0.4404 0.8004 0.1996
Zn 0.5000 0.5000 0.5000
Zn 0.5596 0.1996 0.8004
Zn 0.5596 0.4404 0.1996
Zn 0.5596 0.8004 0.4404
Zn 0.6996 0.0596 0.3004
Zn 0.6996 0.3004 0.9404
Zn 0.6996 0.9404 0.0596
Zn 0.8004 0.1996 0.4404
Zn 0.8004 0.4404 0.5596
Zn 0.8004 0.5596 0.1996
Zn 0.9404 0.0596 0.6996
Zn 0.9404 0.3004 0.0596
Zn 0.9404 0.6996 0.3004

# 7
For Dy2MgS4, a cell relaxed with GGA-PBE gives the calculated XRD peak list in this record (Cu Kα (weighted mean of Kα1 and Kα2)).
Neutral-atom scattering factors, no anomalous dispersion.

Largest 12 diffraction maxima, by angle, 10° ≤ 2θ ≤ 90°:
| two_theta | intensity |
| --- | --- |
| 13.56 | 41 |
| 14.41 | 83 |
| 22.36 | 37 |
| 22.71 | 45 |
| 24.42 | 92 |
| 25.93 | 54 |
| 26.39 | 31 |
| 29.99 | 45 |
| 33.34 | 39 |
| 34.28 | 31 |
| 35.92 | 100 |
| 36.93 | 66 |

Atomic structure:
Cell lengths 7.9529, 7.2892, 11.4312 Å; angles 90.00, 90.00, 90.00 degrees
Atoms (fractional coordinates):
Dy 0.0405 0.2500 0.1919
Dy 0.0714 0.7500 0.4787
Dy 0.4286 0.2500 0.9787
Dy 0.4595 0.7500 0.6919
Dy 0.5405 0.2500 0.3081
Dy 0.5714 0.7500 0.0213
Dy 0.9286 0.2500 0.5213
Dy 0.9595 0.7500 0.8081
Mg 0.1804 0.7500 0.0926
Mg 0.3196 0.2500 0.5926
Mg 0.6804 0.7500 0.4074
Mg 0.8196 0.2500 0.9074
S 0.1049 0.2500 0.9573
S 0.1274 0.0020 0.6572
S 0.1274 0.4980 0.6572
S 0.2219 0.2500 0.3903
S 0.2781 0.7500 0.8903
S 0.3726 0.5020 0.1572
S 0.3726 0.9980 0.1572
S 0.3951 0.7500 0.4573
S 0.6049 0.2500 0.5427
S 0.6274 0.0020 0.8428
S 0.6274 0.4980 0.8428
S 0.7219 0.2500 0.1097
S 0.7781 0.7500 0.6097
S 0.8726 0.5020 0.3428
S 0.8726 0.9980 0.3428
S 0.8951 0.7500 0.0427

# 8
For Nd3MnGaS7, a cell relaxed with GGA-PBE gives the calculated XRD peak list in this record (Cu Kα (weighted mean of Kα1 and Kα2)).
Neutral-atom scattering factors, no anomalous dispersion.

Largest 12 diffraction maxima, by angle, 10° ≤ 2θ ≤ 90°:
| two_theta | intensity |
| --- | --- |
| 17.81 | 23 |
| 22.94 | 28 |
| 25.14 | 100 |
| 27.02 | 30 |
| 34.18 | 33 |
| 35.62 | 36 |
| 36.07 | 41 |
| 37.13 | 21 |
| 40.10 | 31 |
| 40.40 | 28 |
| 47.79 | 25 |
| 50.19 | 24 |

Atomic structure:
Cell lengths 10.0814, 10.0814, 6.0630 Å; angles 90.00, 90.00, 120.00 degrees
Atoms (fractional coordinates):
Nd 0.1402 0.3746 0.0000
Nd 0.2344 0.8598 0.0000
Nd 0.3746 0.2344 0.5000
Nd 0.6254 0.7656 0.0000
Nd 0.7656 0.1402 0.5000
Nd 0.8598 0.6254 0.5000
Mn 0.0000 0.0000 0.2753
Mn 0.0000 0.0000 0.7753
Ga 0.3333 0.6667 0.4224
Ga 0.6667 0.3333 0.9224
S 0.0903 0.2381 0.5370
S 0.0964 0.5801 0.2681
S 0.1478 0.9097 0.5370
S 0.2381 0.1478 0.0370
S 0.3333 0.6667 0.7933
S 0.4199 0.5163 0.2681
S 0.4837 0.9036 0.2681
S 0.5163 0.0964 0.7681
S 0.5801 0.4837 0.7681
S 0.6667 0.3333 0.2933
S 0.7619 0.8522 0.5370
S 0.8522 0.0903 0.0370
S 0.9036 0.4199 0.7681
S 0.9097 0.7619 0.0370